# 1
For YHoMg6, a GGA-PBE-relaxed structure gives the simulated powder X-ray diffraction pattern in this record (λ = 1.5418 Å (Cu Kα)).
Lines closer than 0.1° are merged.

Largest 8 diffraction maxima, low angle first, 15° ≤ 2θ ≤ 90°:
| Position (°2θ) | I (rel.) |
| --- | --- |
| 21.1 | 57.5 |
| 24.4 | 30.4 |
| 34.7 | 100.0 |
| 41.0 | 30.9 |
| 49.9 | 17.5 |
| 54.7 | 13.3 |
| 62.2 | 35.5 |
| 83.7 | 15.0 |

Atomic structure:
Cell lengths 5.168, 5.168, 7.310 Å; angles 90.00, 90.00, 90.00 degrees
Space group P4/mmm (No. 123)
Symmetry-distinct sites (fractional):
Y 0.000 0.000 0.000
Ho 0.500 0.500 0.500
Mg 0.000 0.000 0.500
Mg 0.000 0.500 0.251
Mg 0.500 0.500 0.000

---

# 2
For Na2Lu3Te4I3O12, a GGA-PBE-relaxed structure gives the simulated powder X-ray diffraction pattern in this record (λ = 1.5418 Å (Cu Kα)).
Lines closer than 0.1° are merged.

Largest 8 diffraction maxima, low angle first, 15° ≤ 2θ ≤ 90°:
| Position (°2θ) | I (rel.) |
| --- | --- |
| 30.2 | 100.0 |
| 32.5 | 14.7 |
| 32.6 | 15.5 |
| 39.6 | 9.4 |
| 46.7 | 15.6 |
| 52.2 | 18.0 |
| 56.6 | 13.4 |
| 56.7 | 14.4 |

Atomic structure:
Cell lengths 9.108, 5.488, 16.523 Å; angles 90.00, 90.12, 90.00 degrees
Space group P2/c (No. 13)
Symmetry-distinct sites (fractional):
Na 0.201 0.239 0.414
Lu 0.500 0.245 0.584
Lu 0.500 0.255 0.250
Te 0.246 0.290 0.766
Te 0.250 0.215 0.067
I 0.000 0.240 0.250
I 0.006 0.256 0.583
O 0.342 0.492 0.341
O 0.346 0.007 0.493
O 0.364 0.037 0.813
O 0.369 0.428 0.684
O 0.370 0.462 0.019
O 0.377 0.079 0.147

---

# 3
For SrFeAg2, a GGA-PBE-relaxed structure gives the simulated powder X-ray diffraction pattern in this record (λ = 1.5418 Å (Cu Kα)).
Lines closer than 0.1° are merged.

Largest 8 diffraction maxima, low angle first, 15° ≤ 2θ ≤ 90°:
| Position (°2θ) | I (rel.) |
| --- | --- |
| 22.0 | 5.9 |
| 36.2 | 100.0 |
| 42.8 | 3.1 |
| 52.2 | 16.8 |
| 57.3 | 1.2 |
| 65.2 | 33.3 |
| 76.9 | 10.2 |
| 88.1 | 14.8 |

Atomic structure:
Cell lengths 7.013, 7.013, 7.013 Å; angles 90.00, 90.00, 90.00 degrees
Space group F-43m (No. 216)
Symmetry-distinct sites (fractional):
Sr 0.000 0.000 0.000
Fe 0.250 0.250 0.250
Ag 0.000 0.000 0.500
Ag 0.250 0.250 0.750

---

# 4
For Hf3InCN, a GGA-PBE-relaxed structure gives the simulated powder X-ray diffraction pattern in this record (λ = 1.5418 Å (Cu Kα)).
Lines closer than 0.1° are merged.

Largest 8 diffraction maxima, low angle first, 15° ≤ 2θ ≤ 90°:
| Position (°2θ) | I (rel.) |
| --- | --- |
| 31.8 | 28.2 |
| 34.3 | 18.8 |
| 36.0 | 29.8 |
| 36.4 | 100.0 |
| 38.9 | 22.6 |
| 56.0 | 28.8 |
| 64.9 | 17.9 |
| 68.4 | 28.1 |

Atomic structure:
Cell lengths 3.2818, 3.2818, 19.9688 Å; angles 90.00, 90.00, 120.00 degrees
Space group P-3m1 (No. 164)
Symmetry-distinct sites (fractional):
Hf 0.0000 0.0000 0.0000
Hf 0.0000 0.0000 0.5000
Hf 0.3333 0.6667 0.1259
Hf 0.3333 0.6667 0.3724
In 0.0000 0.0000 0.2476
C 0.3333 0.6667 0.5696
N 0.3333 0.6667 0.9355

---

# 5
For HoTmInC, a GGA-PBE-relaxed structure gives the simulated powder X-ray diffraction pattern in this record (λ = 1.5418 Å (Cu Kα)).
Lines closer than 0.1° are merged.

Largest 8 diffraction maxima, low angle first, 15° ≤ 2θ ≤ 90°:
| Position (°2θ) | I (rel.) |
| --- | --- |
| 29.0 | 21.9 |
| 33.1 | 21.7 |
| 33.5 | 100.0 |
| 44.6 | 16.3 |
| 51.3 | 20.6 |
| 59.4 | 19.1 |
| 62.5 | 21.1 |
| 62.7 | 16.3 |

Atomic structure:
Cell lengths 3.5591, 3.5591, 16.2207 Å; angles 90.00, 90.00, 120.00 degrees
Space group P-6m2 (No. 187)
Symmetry-distinct sites (fractional):
Ho 0.0000 0.0000 0.1687
Tm 0.3333 0.6667 0.3332
In 0.0000 0.0000 0.5000
In 0.3333 0.6667 0.0000
C 0.6667 0.3333 0.2513

---

# 6
For MgZnCu, a GGA-PBE-relaxed structure gives the simulated powder X-ray diffraction pattern in this record (λ = 1.5418 Å (Cu Kα)).
Lines closer than 0.1° are merged.

Largest 8 diffraction maxima, low angle first, 15° ≤ 2θ ≤ 90°:
| Position (°2θ) | I (rel.) |
| --- | --- |
| 21.5 | 90.2 |
| 41.8 | 91.1 |
| 42.0 | 44.4 |
| 43.8 | 100.0 |
| 51.0 | 21.0 |
| 56.1 | 12.9 |
| 68.0 | 19.6 |
| 75.2 | 24.6 |

Atomic structure:
Cell lengths 5.068, 5.068, 7.130 Å; angles 90.00, 90.00, 90.00 degrees
Space group P-4 (No. 81)
Symmetry-distinct sites (fractional):
Mg 0.000 0.000 0.000
Mg 0.000 0.500 0.232
Mg 0.500 0.500 0.500
Zn 0.000 0.251 0.631
Cu 0.253 0.501 0.876

---

# 7
For SmErSc6, a GGA-PBE-relaxed structure gives the simulated powder X-ray diffraction pattern in this record (λ = 1.5418 Å (Cu Kα)).
Lines closer than 0.1° are merged.

Largest 8 diffraction maxima, low angle first, 15° ≤ 2θ ≤ 90°:
| Position (°2θ) | I (rel.) |
| --- | --- |
| 22.7 | 45.9 |
| 26.5 | 20.4 |
| 30.6 | 24.3 |
| 33.9 | 24.5 |
| 35.1 | 100.0 |
| 54.5 | 22.6 |
| 61.5 | 18.4 |
| 65.8 | 19.8 |

Atomic structure:
Cell lengths 5.283, 6.740, 11.665 Å; angles 90.00, 90.00, 90.00 degrees
Space group Amm2 (No. 38)
Symmetry-distinct sites (fractional):
Sm 0.000 0.000 0.000
Er 0.500 0.000 0.669
Sc 0.000 0.000 0.499
Sc 0.000 0.244 0.252
Sc 0.500 0.000 0.170
Sc 0.500 0.244 0.416

---

# 8
For Dy2TmScGa2, a GGA-PBE-relaxed structure gives the simulated powder X-ray diffraction pattern in this record (λ = 1.5418 Å (Cu Kα)).
Lines closer than 0.1° are merged.

Largest 8 diffraction maxima, low angle first, 15° ≤ 2θ ≤ 90°:
| Position (°2θ) | I (rel.) |
| --- | --- |
| 20.4 | 21.5 |
| 34.4 | 100.0 |
| 35.6 | 80.5 |
| 50.3 | 33.9 |
| 63.2 | 34.1 |
| 64.0 | 14.4 |
| 68.6 | 23.1 |
| 85.6 | 14.9 |

Atomic structure:
Cell lengths 5.0381, 5.0381, 6.5123 Å; angles 90.00, 90.00, 120.00 degrees
Space group P-6m2 (No. 187)
Symmetry-distinct sites (fractional):
Dy 0.0000 0.0000 0.2434
Tm 0.6667 0.3333 0.5000
Sc 0.3333 0.6667 0.0000
Ga 0.3333 0.6667 0.5000
Ga 0.6667 0.3333 0.0000

---

# 9
For BaGePt2, a GGA-PBE-relaxed structure gives the simulated powder X-ray diffraction pattern in this record (λ = 1.5418 Å (Cu Kα)).
Lines closer than 0.1° are merged.

Largest 8 diffraction maxima, low angle first, 15° ≤ 2θ ≤ 90°:
| Position (°2θ) | I (rel.) |
| --- | --- |
| 19.8 | 28.4 |
| 31.0 | 100.0 |
| 31.2 | 53.4 |
| 33.5 | 47.6 |
| 33.9 | 53.4 |
| 39.5 | 24.0 |
| 40.2 | 43.8 |
| 53.5 | 31.3 |

Atomic structure:
Cell lengths 7.517, 4.491, 11.167 Å; angles 90.00, 90.00, 90.00 degrees
Space group Pnma (No. 62)
Symmetry-distinct sites (fractional):
Ba 0.142 0.250 0.124
Ge 0.019 0.750 0.381
Pt 0.161 0.250 0.425
Pt 0.168 0.250 0.802

---

# 10
For PrNpW2C3, a GGA-PBE-relaxed structure gives the simulated powder X-ray diffraction pattern in this record (λ = 1.5418 Å (Cu Kα)).
Lines closer than 0.1° are merged.

Largest 8 diffraction maxima, low angle first, 15° ≤ 2θ ≤ 90°:
| Position (°2θ) | I (rel.) |
| --- | --- |
| 29.6 | 26.5 |
| 30.9 | 35.4 |
| 32.3 | 42.4 |
| 33.9 | 28.6 |
| 34.5 | 100.0 |
| 35.6 | 83.7 |
| 55.0 | 26.2 |
| 55.3 | 24.6 |

Atomic structure:
Cell lengths 12.156, 3.325, 5.803 Å; angles 90.00, 114.18, 90.00 degrees
Space group Cm (No. 8)
Symmetry-distinct sites (fractional):
Pr 0.000 0.000 0.000
Np 0.213 0.000 0.624
W 0.257 0.500 0.128
W 0.443 0.000 0.475
C 0.106 0.500 0.790
C 0.346 0.000 0.066
C 0.349 0.500 0.539

---

# 11
For Co11Ni2, a GGA-PBE-relaxed structure gives the simulated powder X-ray diffraction pattern in this record (λ = 1.5418 Å (Cu Kα)).
Lines closer than 0.1° are merged.

Largest 8 diffraction maxima, low angle first, 15° ≤ 2θ ≤ 90°:
| Position (°2θ) | I (rel.) |
| --- | --- |
| 39.6 | 50.0 |
| 43.9 | 45.1 |
| 45.0 | 26.4 |
| 45.7 | 100.0 |
| 46.2 | 44.6 |
| 47.3 | 50.4 |
| 49.9 | 49.0 |
| 85.2 | 30.1 |

Atomic structure:
Cell lengths 4.5570, 4.5570, 24.1892 Å; angles 90.00, 90.00, 120.00 degrees
Space group R-3m (No. 166, hexagonal axes)
Symmetry-distinct sites (fractional):
Co 0.0000 0.0000 0.0000
Co 0.0000 0.0000 0.3480
Co 0.0000 0.0000 0.4529
Co 0.0046 0.5023 0.4121
Ni 0.0000 0.0000 0.1654

---

# 12
For NaSn5Pt3, a GGA-PBE-relaxed structure gives the simulated powder X-ray diffraction pattern in this record (λ = 1.5418 Å (Cu Kα)).
Lines closer than 0.1° are merged.

Largest 8 diffraction maxima, low angle first, 15° ≤ 2θ ≤ 90°:
| Position (°2θ) | I (rel.) |
| --- | --- |
| 18.5 | 35.8 |
| 32.4 | 21.7 |
| 32.6 | 41.4 |
| 39.2 | 100.0 |
| 43.7 | 82.5 |
| 67.7 | 20.1 |
| 69.2 | 21.8 |
| 77.2 | 22.3 |

Atomic structure:
Cell lengths 5.5337, 5.5337, 8.2378 Å; angles 90.00, 90.00, 120.00 degrees
Space group P6/mmm (No. 191)
Symmetry-distinct sites (fractional):
Na 0.0000 0.0000 0.0000
Sn 0.0000 0.0000 0.5000
Sn 0.3333 0.6667 0.1994
Pt 0.0000 0.5000 0.5000

---

# 13
For PrMg2, a GGA-PBE-relaxed structure gives the simulated powder X-ray diffraction pattern in this record (λ = 1.5418 Å (Cu Kα)).
Lines closer than 0.1° are merged.

Largest 8 diffraction maxima, low angle first, 15° ≤ 2θ ≤ 90°:
| Position (°2θ) | I (rel.) |
| --- | --- |
| 17.6 | 58.0 |
| 29.0 | 97.3 |
| 34.1 | 100.0 |
| 51.4 | 39.6 |
| 54.8 | 34.1 |
| 60.1 | 22.6 |
| 83.0 | 19.8 |
| 85.7 | 21.1 |

Atomic structure:
Cell lengths 8.709, 8.709, 8.709 Å; angles 90.00, 90.00, 90.00 degrees
Space group Fd-3m (No. 227, origin choice 2)
Symmetry-distinct sites (fractional):
Pr 0.125 0.125 0.125
Mg 0.000 0.000 0.500